No. 1
Starting from the PBE geometry in the Materials Project, the XRD peak list of Ba2Tl7Au was simulated for Cu Kα (weighted mean of Kα1 and Kα2).
Kinematic intensities with the Lorentz-polarization factor, no thermal factor.

Structural model:
```
data_Ba2Tl7Au
_chemical_formula_sum 'Ba8 Tl28 Au4'
_symmetry_space_group_name_H-M 'P n m a'
_symmetry_Int_Tables_number 62
_symmetry_space_group_name_Hall '-P 2ac 2n'
_cell_length_a 22.488
_cell_length_b 5.320
_cell_length_c 10.776
_cell_angle_alpha 90.00
_cell_angle_beta 90.00
_cell_angle_gamma 90.00
loop_
_atom_site_label
_atom_site_fract_x
_atom_site_fract_y
_atom_site_fract_z
Ba1 0.041 0.250 0.249
Ba2 0.211 0.250 0.496
Tl1 0.052 0.250 0.899
Tl2 0.053 0.250 0.602
Tl3 0.090 0.750 0.461
Tl4 0.103 0.750 0.025
Tl5 0.149 0.750 0.734
Tl6 0.201 0.250 0.853
Tl7 0.202 0.250 0.150
Au1 0.173 0.750 0.258
```

Main lines, in order of falling intensity (10° ≤ 2θ ≤ 80°):
29.15 deg, intensity 100, hkl 6 1 0; 33.69 deg, intensity 76, hkl 0 2 0; 38.30 deg, intensity 45, hkl 2 1 4; 30.29 deg, intensity 40, hkl 1 1 3; 28.42 deg, intensity 37, hkl 4 1 2; 29.02 deg, intensity 34, hkl 6 0 2; 31.08 deg, intensity 32, hkl 2 1 3; 30.02 deg, intensity 30, hkl 0 1 3; 31.86 deg, intensity 28, hkl 8 0 0; 56.50 deg, intensity 27, hkl 4 1 6

***

No. 2
Starting from the PBE geometry in the Materials Project, the XRD peak list of BeAu3 was simulated for Cu Kα (weighted mean of Kα1 and Kα2).
Kinematic intensities with the Lorentz-polarization factor, no thermal factor.

Structural model:
```
data_BeAu3
_chemical_formula_sum 'Be1 Au3'
_symmetry_space_group_name_H-M 'P m -3 m'
_symmetry_Int_Tables_number 221
_symmetry_space_group_name_Hall '-P 4 2 3'
_cell_length_a 4.012
_cell_length_b 4.012
_cell_length_c 4.012
_cell_angle_alpha 90.00
_cell_angle_beta 90.00
_cell_angle_gamma 90.00
loop_
_atom_site_label
_atom_site_fract_x
_atom_site_fract_y
_atom_site_fract_z
Be1 0.000 0.000 0.000
Au1 0.000 0.500 0.500
```

Main lines, in order of falling intensity (10° ≤ 2θ ≤ 80°):
38.88 deg, intensity 100, hkl 1 1 1; 45.20 deg, intensity 49, hkl 2 0 0; 79.19 deg, intensity 40, hkl 3 1 1; 65.85 deg, intensity 33, hkl 2 2 0; 22.16 deg, intensity 31, hkl 1 0 0; 31.54 deg, intensity 27, hkl 1 1 0; 50.90 deg, intensity 14, hkl 2 1 0; 56.16 deg, intensity 11, hkl 2 1 1; 70.41 deg, intensity 7, hkl 3 0 0; 74.84 deg, intensity 5, hkl 3 1 0

***

No. 3
Starting from the PBE geometry in the Materials Project, the XRD peak list of Be12Au was simulated for Cu Kα (weighted mean of Kα1 and Kα2).
Kinematic intensities with the Lorentz-polarization factor, no thermal factor.

Structural model:
```
data_Be12Au
_chemical_formula_sum 'Be24 Au2'
_symmetry_space_group_name_H-M 'I 4/m m m'
_symmetry_Int_Tables_number 139
_symmetry_space_group_name_Hall '-I 4 2'
_cell_length_a 7.322
_cell_length_b 7.322
_cell_length_c 4.285
_cell_angle_alpha 90.00
_cell_angle_beta 90.00
_cell_angle_gamma 90.00
loop_
_atom_site_label
_atom_site_fract_x
_atom_site_fract_y
_atom_site_fract_z
Be1 0.000 0.235 0.000
Be2 0.000 0.351 0.500
Be3 0.250 0.250 0.250
Au1 0.000 0.000 0.500
```

Main lines, in order of falling intensity (10° ≤ 2θ ≤ 80°):
17.13 deg, intensity 100, hkl 1 1 0; 24.06 deg, intensity 98, hkl 1 0 1; 34.47 deg, intensity 89, hkl 2 1 1; 24.31 deg, intensity 44, hkl 2 0 0; 49.68 deg, intensity 39, hkl 3 2 1; 38.90 deg, intensity 33, hkl 3 1 0; 42.63 deg, intensity 29, hkl 3 0 1; 49.28 deg, intensity 22, hkl 2 0 2; 34.65 deg, intensity 20, hkl 2 2 0; 58.71 deg, intensity 20, hkl 3 1 2

***

No. 4
Starting from the PBE geometry in the Materials Project, the XRD peak list of BeAu2 was simulated for Cu Kα (weighted mean of Kα1 and Kα2).
Kinematic intensities with the Lorentz-polarization factor, no thermal factor.

Structural model:
```
data_BeAu2
_chemical_formula_sum 'Be2 Au4'
_symmetry_space_group_name_H-M 'I 4/m m m'
_symmetry_Int_Tables_number 139
_symmetry_space_group_name_Hall '-I 4 2'
_cell_length_a 2.939
_cell_length_b 2.939
_cell_length_c 10.229
_cell_angle_alpha 90.00
_cell_angle_beta 90.00
_cell_angle_gamma 90.00
loop_
_atom_site_label
_atom_site_fract_x
_atom_site_fract_y
_atom_site_fract_z
Be1 0.000 0.000 0.000
Au1 0.000 0.000 0.358
```

Main lines, in order of falling intensity (10° ≤ 2θ ≤ 80°):
40.52 deg, intensity 100, hkl 1 0 3; 31.67 deg, intensity 89, hkl 1 0 1; 43.54 deg, intensity 51, hkl 1 1 0; 57.10 deg, intensity 37, hkl 1 1 4; 35.09 deg, intensity 36, hkl 0 0 4; 77.88 deg, intensity 31, hkl 2 1 3; 72.19 deg, intensity 22, hkl 1 0 7; 63.27 deg, intensity 17, hkl 2 0 0; 72.49 deg, intensity 17, hkl 2 1 1; 74.46 deg, intensity 17, hkl 2 0 4